Starting from the GGA-PBE geometry in Alexandria, the XRD peak list of Cs2Mg2TlI7 was simulated for copper Kα.

Top 10 peaks for 2θ = 10–90°, sorted by position:
d (Å)	I_rel	(hkl)
3.648	34	2 0 -3
3.215	100	2 0 2
3.041	18	0 0 5
2.940	58	2 2 -1
2.114	26	2 2 -6
2.079	22	0 4 0
1.920	14	2 2 5
1.746	35	4 2 1
1.729	16	2 0 -9
1.716	13	4 0 -7

Structure:
a b c (Å): 8.3176 8.3162 15.7632
angles (deg): 90.00 105.27 90.00
Space group C2/m (No. 12)
One atom of each set of equivalent atoms:
Cs 0.1781 0.0000 0.3566
Mg 0.0952 0.5000 0.1956
Tl 0.0000 0.0000 0.0000
I 0.0000 0.5000 0.0000
I 0.1608 0.2496 0.8202
I 0.1915 0.5000 0.3842